Starting from a crystal structure in Alexandria, relaxed with GGA-PBE, the X-ray powder pattern of Tb2Pr7Nd3 was simulated for a wavelength of 1.5418 Å.
Neutral-atom scattering factors, no anomalous dispersion.

Atomic structure:
Cell lengths 6.583, 3.616, 17.992 Å; angles 90.00, 96.03, 90.00 degrees
Space group P2/m (No. 10)
Asymmetric unit:
Tb: 0.057 0.000 0.170 x2
Pr: 0.000 0.500 0.500 x1
Pr: 0.223 0.000 0.670 x2
Pr: 0.256 0.000 0.995 x2
Pr: 0.272 0.500 0.331 x2
Nd: 0.454 0.500 0.839 x2
Nd: 0.500 0.000 0.500 x1

Largest 10 diffraction maxima, in order of rising 2θ, 10 to 90 degrees two-theta:
(hkl)	Position (°2θ)	I_rel
1 1 1	28.9	56
2 0 -3	29.7	81
0 0 6	30.0	100
1 1 2	30.4	95
2 0 3	32.6	66
1 1 -4	33.9	82
1 1 -5	37.0	26
3 1 -1	48.5	37
2 0 -9	51.2	36
0 2 6	59.8	28